No. 1
The following is a theoretical powder diffraction line list of NaNd5In3. It was derived from a GGA-PBE-relaxed structure, using a wavelength of 1.5418 Å.
Kinematic intensities with the Lorentz-polarization factor, no thermal factor.

Main lines, most intense first (5 to 70 degrees two-theta):
- 2θ 32.15, intensity 100
- 2θ 32.02, intensity 85
- 2θ 57.26, intensity 49
- 2θ 46.01, intensity 30
- 2θ 63.74, intensity 27
- 2θ 41.79, intensity 17

Crystal structure
```
data_NaNd5In3
_chemical_formula_sum 'Na2 Nd10 In6'
_space_group_name_H-M_alt 'P 63/m c m'
_space_group_IT_number 193
_space_group_name_Hall '-P 6c 2'
_cell_length_a 9.6459
_cell_length_b 9.6459
_cell_length_c 6.8585
_cell_angle_alpha 90.00
_cell_angle_beta 90.00
_cell_angle_gamma 120.00
loop_
_atom_site_label
_atom_site_type_symbol
_atom_site_fract_x
_atom_site_fract_y
_atom_site_fract_z
Na1 Na 0.0000 0.0000 0.0000
Nd1 Nd 0.0000 0.3204 0.2500
Nd2 Nd 0.3333 0.6667 0.0000
In1 In 0.0000 0.3445 0.7500
```

No. 2
The following is a theoretical powder diffraction line list of Na8InO6. It was derived from a GGA-PBE-relaxed structure, using a wavelength of 1.5418 Å.
Kinematic intensities with the Lorentz-polarization factor, no thermal factor.

Main lines, most intense first (5 to 70 degrees two-theta):
- 2θ 15.92, intensity 100
- 2θ 32.16, intensity 83
- 2θ 30.98, intensity 61
- 2θ 52.51, intensity 55
- 2θ 29.94, intensity 53
- 2θ 30.85, intensity 53

Crystal structure
```
data_Na8InO6
_chemical_formula_sum 'Na16 In2 O12'
_space_group_name_H-M_alt 'P m n 21'
_space_group_IT_number 31
_cell_length_a 6.7031
_cell_length_b 7.0709
_cell_length_c 9.9943
_cell_angle_alpha 90.00
_cell_angle_beta 90.00
_cell_angle_gamma 90.00
loop_
_space_group_symop_operation_xyz
'x,y,z'
'-x+1/2,-y,z+1/2'
'-x,y,z'
'x+1/2,-y,z+1/2'
loop_
_atom_site_label
_atom_site_type_symbol
_atom_site_fract_x
_atom_site_fract_y
_atom_site_fract_z
Na1 Na 0.0000 0.2484 0.0000
Na2 Na 0.0000 0.2494 0.4480
Na3 Na 0.2080 0.5549 0.7818
Na4 Na 0.2083 0.9458 0.7813
Na5 Na 0.2239 0.7492 0.1179
In1 In 0.0000 0.7497 0.4836
O1 O 0.0000 0.0032 0.5943
O2 O 0.0000 0.2499 0.2302
O3 O 0.0000 0.4963 0.5944
O4 O 0.0000 0.7507 0.9306
O5 O 0.2370 0.7497 0.3475
```

No. 3
The following is a theoretical powder diffraction line list of NaInO. It was derived from a GGA-PBE-relaxed structure, using a wavelength of 1.5418 Å.
Kinematic intensities with the Lorentz-polarization factor, no thermal factor.

Main lines, most intense first (5 to 70 degrees two-theta):
- 2θ 33.09, intensity 100
- 2θ 13.94, intensity 76
- 2θ 22.19, intensity 76
- 2θ 28.00, intensity 71
- 2θ 34.75, intensity 56
- 2θ 48.57, intensity 53

Crystal structure
```
data_NaInO
_chemical_formula_sum 'Na4 In4 O4'
_space_group_name_H-M_alt 'C m c m'
_space_group_IT_number 63
_space_group_name_Hall '-C 2c 2'
_cell_length_a 3.2922
_cell_length_b 12.7055
_cell_length_c 5.1634
_cell_angle_alpha 90.00
_cell_angle_beta 90.00
_cell_angle_gamma 90.00
loop_
_atom_site_label
_atom_site_type_symbol
_atom_site_fract_x
_atom_site_fract_y
_atom_site_fract_z
Na1 Na 0.0000 0.1961 0.2500
In1 In 0.0000 0.4458 0.2500
O1 O 0.0000 0.1692 0.7500
```

No. 4
The following is a theoretical powder diffraction line list of Na14In2O9. It was derived from a GGA-PBE-relaxed structure, using a wavelength of 1.5418 Å.
Kinematic intensities with the Lorentz-polarization factor, no thermal factor.

Main lines, most intense first (5 to 70 degrees two-theta):
- 2θ 17.45, intensity 100
- 2θ 31.89, intensity 54
- 2θ 46.07, intensity 47
- 2θ 40.93, intensity 40
- 2θ 45.39, intensity 38
- 2θ 31.27, intensity 35

Crystal structure
```
data_Na14In2O9
_chemical_formula_sum 'Na14 In2 O9'
_space_group_name_H-M_alt 'P -3'
_space_group_IT_number 147
_cell_length_a 6.9218
_cell_length_b 6.9218
_cell_length_c 9.5859
_cell_angle_alpha 90.00
_cell_angle_beta 90.00
_cell_angle_gamma 120.00
loop_
_space_group_symop_operation_xyz
'x,y,z'
'-x,-y,-z'
'-y,x-y,z'
'y,-x+y,-z'
'-x+y,-x,z'
'x-y,x,-z'
loop_
_atom_site_label
_atom_site_type_symbol
_atom_site_fract_x
_atom_site_fract_y
_atom_site_fract_z
Na1 Na 0.0000 0.0000 0.2500
Na2 Na 0.0517 0.6900 0.4098
Na3 Na 0.0766 0.3802 0.0907
In1 In 0.3333 0.6667 0.7620
O1 O 0.0000 0.0000 0.5000
O2 O 0.0567 0.3553 0.8384
O3 O 0.3333 0.6667 0.5373
```

No. 5
The following is a theoretical powder diffraction line list of Na21In5O15. It was derived from a GGA-PBE-relaxed structure, using a wavelength of 1.5418 Å.
Kinematic intensities with the Lorentz-polarization factor, no thermal factor.

Main lines, most intense first (5 to 70 degrees two-theta):
- 2θ 19.09, intensity 100
- 2θ 11.07, intensity 71
- 2θ 11.20, intensity 68
- 2θ 20.04, intensity 59
- 2θ 19.19, intensity 56
- 2θ 27.07, intensity 49

Crystal structure
```
data_Na21In5O15
_chemical_formula_sum 'Na42 In10 O30'
_space_group_name_H-M_alt 'C 1 m 1'
_space_group_IT_number 8
_cell_length_a 11.4014
_cell_length_b 16.1423
_cell_length_c 9.4358
_cell_angle_alpha 90.00
_cell_angle_beta 126.22
_cell_angle_gamma 90.00
loop_
_space_group_symop_operation_xyz
'x,y,z'
'x,-y,z'
'x+1/2,y+1/2,z'
'x+1/2,-y+1/2,z'
loop_
_atom_site_label
_atom_site_type_symbol
_atom_site_fract_x
_atom_site_fract_y
_atom_site_fract_z
Na1 Na 0.0000 0.0000 0.0000
Na2 Na 0.0497 0.1025 0.7199
Na3 Na 0.0842 0.2792 0.3806
Na4 Na 0.1157 0.2707 0.8955
Na5 Na 0.1209 0.0000 0.4196
Na6 Na 0.1762 0.5000 0.8874
Na7 Na 0.2375 0.3964 0.1859
Na8 Na 0.2707 0.1563 0.6772
Na9 Na 0.2883 0.3539 0.7280
Na10 Na 0.3806 0.2721 0.4601
Na11 Na 0.4632 0.3575 0.1510
Na12 Na 0.4772 0.1085 0.5936
In1 In 0.1952 0.5000 0.4524
In2 In 0.2446 0.1466 0.1830
In3 In 0.3805 0.0000 0.1923
In4 In 0.4251 0.0000 0.9129
O1 O 0.0156 0.3990 0.8704
O2 O 0.0294 0.1373 0.9485
O3 O 0.1157 0.2575 0.6528
O4 O 0.1280 0.5000 0.6158
O5 O 0.1980 0.0000 0.7188
O6 O 0.2210 0.1560 0.3929
O7 O 0.2883 0.3874 0.4793
O8 O 0.3285 0.2640 0.1849
O9 O 0.3921 0.5000 0.1519
```

No. 6
The following is a theoretical powder diffraction line list of Na2InP2O6. It was derived from a GGA-PBE-relaxed structure, using a wavelength of 1.5418 Å.
Kinematic intensities with the Lorentz-polarization factor, no thermal factor.

Main lines, most intense first (5 to 70 degrees two-theta):
- 2θ 24.03, intensity 100
- 2θ 14.92, intensity 74
- 2θ 35.69, intensity 60
- 2θ 32.74, intensity 59
- 2θ 36.16, intensity 40
- 2θ 49.21, intensity 29

Crystal structure
```
data_Na2InP2O6
_chemical_formula_sum 'Na2 In1 P2 O6'
_space_group_name_H-M_alt 'P -3'
_space_group_IT_number 147
_cell_length_a 5.4703
_cell_length_b 5.4703
_cell_length_c 5.9367
_cell_angle_alpha 90.00
_cell_angle_beta 90.00
_cell_angle_gamma 120.00
loop_
_space_group_symop_operation_xyz
'x,y,z'
'-x,-y,-z'
'-y,x-y,z'
'y,-x+y,-z'
'-x+y,-x,z'
'x-y,x,-z'
loop_
_atom_site_label
_atom_site_type_symbol
_atom_site_fract_x
_atom_site_fract_y
_atom_site_fract_z
Na1 Na 0.3333 0.6667 0.3687
In1 In 0.0000 0.0000 0.0000
P1 P 0.3333 0.6667 0.8744
O1 O 0.1279 0.7644 0.7695
```

No. 7
The following is a theoretical powder diffraction line list of Na4Sc3InSi8O24. It was derived from a GGA-PBE-relaxed structure, using a wavelength of 1.5418 Å.
Kinematic intensities with the Lorentz-polarization factor, no thermal factor.

Main lines, most intense first (5 to 70 degrees two-theta):
- 2θ 28.83, intensity 100
- 2θ 29.69, intensity 43
- 2θ 13.38, intensity 36
- 2θ 34.69, intensity 36
- 2θ 35.11, intensity 35
- 2θ 19.45, intensity 20

Crystal structure
```
data_Na4Sc3InSi8O24
_chemical_formula_sum 'Na4 Sc3 In1 Si8 O24'
_space_group_name_H-M_alt 'P 1 2 1'
_space_group_IT_number 3
_cell_length_a 5.4233
_cell_length_b 9.1795
_cell_length_c 9.8530
_cell_angle_alpha 90.00
_cell_angle_beta 104.14
_cell_angle_gamma 90.00
loop_
_space_group_symop_operation_xyz
'x,y,z'
'-x,y,-z'
loop_
_atom_site_label
_atom_site_type_symbol
_atom_site_fract_x
_atom_site_fract_y
_atom_site_fract_z
Na1 Na 0.0000 0.0000 0.0000
Na2 Na 0.0000 0.1004 0.5000
Na3 Na 0.5000 0.5015 0.5000
Na4 Na 0.5000 0.6061 0.0000
Sc1 Sc 0.0000 0.4104 0.0000
Sc2 Sc 0.0000 0.6957 0.5000
Sc3 Sc 0.5000 0.9067 0.5000
In1 In 0.5000 0.1977 0.0000
Si1 Si 0.2035 0.7153 0.2099
Si2 Si 0.2048 0.3884 0.7085
Si3 Si 0.2936 0.2144 0.2912
Si4 Si 0.2955 0.8878 0.7892
O1 O 0.0738 0.3054 0.3500
O2 O 0.0794 0.7934 0.8485
O3 O 0.1941 0.5476 0.6381
O4 O 0.1966 0.5561 0.1391
O5 O 0.2143 0.2231 0.1192
O6 O 0.2233 0.8781 0.6174
O7 O 0.2756 0.3849 0.8808
O8 O 0.2770 0.7225 0.3815
O9 O 0.2902 0.0481 0.8540
O10 O 0.3073 0.0550 0.3616
O11 O 0.4212 0.8092 0.1512
O12 O 0.4272 0.2975 0.6523
```

No. 8
The following is a theoretical powder diffraction line list of NaUIn2O8. It was derived from a GGA-PBE-relaxed structure, using a wavelength of 1.5418 Å.
Kinematic intensities with the Lorentz-polarization factor, no thermal factor.

Main lines, most intense first (5 to 70 degrees two-theta):
- 2θ 33.96, intensity 100
- 2θ 25.02, intensity 96
- 2θ 13.09, intensity 91
- 2θ 30.74, intensity 77
- 2θ 27.44, intensity 64
- 2θ 20.37, intensity 57

Crystal structure
```
data_NaUIn2O8
_chemical_formula_sum 'Na1 U1 In2 O8'
_space_group_name_H-M_alt 'P 1 2/m 1'
_space_group_IT_number 10
_cell_length_a 4.2422
_cell_length_b 6.7638
_cell_length_c 5.7290
_cell_angle_alpha 90.00
_cell_angle_beta 95.42
_cell_angle_gamma 90.00
loop_
_space_group_symop_operation_xyz
'x,y,z'
'-x,-y,-z'
'-x,y,-z'
'x,-y,z'
loop_
_atom_site_label
_atom_site_type_symbol
_atom_site_fract_x
_atom_site_fract_y
_atom_site_fract_z
Na1 Na 0.0000 0.0000 0.0000
U1 U 0.0000 0.5000 0.0000
In1 In 0.5000 0.2575 0.5000
O1 O 0.1588 0.0000 0.5703
O2 O 0.2173 0.5000 0.6342
O3 O 0.2587 0.2807 0.1565
```

- Number 1 is which compound?
  NaNd5In3